Structure and theoretical X-ray diffraction stick pattern of Tm6RuRh5 (the PBE geometry in Alexandria; a wavelength of 1.5418 Å).
Peak positions follow from Bragg's law for the DFT cell and can differ from measured ones.

Peak list (10 most intense, 2θ = 10–80°, in order of rising 2θ)
2theta  I/Imax
26.4  6
26.6  3
37.6  51
37.8  100
46.7  3
54.3  18
54.7  9
61.3  1
68.0  35
68.3  17

Crystal structure
Lattice parameters (Å, degrees): 7.564 7.564 6.711 90.00 90.00 143.19
Fractional positions:
Tm (0.000, 0.000, 0.248)
Tm (0.000, 0.000, 0.752)
Tm (0.334, 0.666, 0.249)
Tm (0.334, 0.666, 0.751)
Tm (0.666, 0.334, 0.249)
Tm (0.666, 0.334, 0.751)
Ru (0.500, 0.500, 0.000)
Rh (0.167, 0.833, 0.000)
Rh (0.167, 0.833, 0.500)
Rh (0.500, 0.500, 0.500)
Rh (0.833, 0.167, 0.000)
Rh (0.833, 0.167, 0.500)